(1)
Starting from the PBE geometry in Alexandria, the XRD peak list of CeY2Ho6 was computed for CuKα.
Lines closer than 0.1° are merged.

Cell and atoms:
```
data_CeY2Ho6
_chemical_formula_sum 'Ce1 Y2 Ho6'
_cell_length_a 7.549
_cell_length_b 7.549
_cell_length_c 7.549
_cell_angle_alpha 57.40
_cell_angle_beta 57.40
_cell_angle_gamma 57.40
_symmetry_space_group_name_H-M 'P 1'
_symmetry_Int_Tables_number 1
loop_
_symmetry_equiv_pos_as_xyz
'x,y,z'
loop_
_atom_site_label
_atom_site_fract_x
_atom_site_fract_y
_atom_site_fract_z
Ce1 0.000 0.000 0.000
Y1 0.260 0.260 0.260
Y2 0.438 0.438 0.438
Ho1 0.289 0.735 0.735
Ho2 0.460 0.941 0.941
Ho3 0.735 0.289 0.735
Ho4 0.735 0.735 0.289
Ho5 0.941 0.460 0.941
Ho6 0.941 0.941 0.460
```

Main lines, in order of falling intensity (2θ from 5° to 70°):
2θ/deg, I/Imax
28.8, 100.0
37.3, 86.9
34.3, 77.7
28.4, 51.0
50.3, 44.1
58.8, 29.6
61.7, 20.3
44.3, 19.3
30.0, 18.9
14.9, 18.7

(2)
Starting from the PBE geometry in Alexandria, the XRD peak list of CeY4Ho7 was computed for CuKα.
Lines closer than 0.1° are merged.

Cell and atoms:
```
data_CeY4Ho7
_chemical_formula_sum 'Ce1 Y4 Ho7'
_cell_length_a 6.653
_cell_length_b 6.653
_cell_length_c 12.673
_cell_angle_alpha 114.73
_cell_angle_beta 114.73
_cell_angle_gamma 51.92
_symmetry_space_group_name_H-M 'P 1'
_symmetry_Int_Tables_number 1
loop_
_symmetry_equiv_pos_as_xyz
'x,y,z'
loop_
_atom_site_label
_atom_site_fract_x
_atom_site_fract_y
_atom_site_fract_z
Ce1 0.000 0.000 0.000
Y1 0.251 0.251 0.686
Y2 0.369 0.369 0.225
Y3 0.631 0.631 0.775
Y4 0.749 0.749 0.314
Ho1 0.061 0.061 0.328
Ho2 0.206 0.206 0.924
Ho3 0.366 0.366 0.498
Ho4 0.500 0.500 0.000
Ho5 0.634 0.634 0.502
Ho6 0.794 0.794 0.076
Ho7 0.939 0.939 0.672
```

Main lines, in order of falling intensity (2θ from 5° to 70°):
2θ/deg, I/Imax
32.8, 100.0
30.7, 91.8
33.7, 75.2
44.2, 62.8
33.9, 50.0
31.0, 43.1
30.9, 39.6
20.7, 37.9
55.9, 27.8
63.9, 22.4

(3)
Starting from the PBE geometry in Alexandria, the XRD peak list of CeY2Ho4 was computed for CuKα.
Lines closer than 0.1° are merged.

Cell and atoms:
```
data_CeY2Ho4
_chemical_formula_sum 'Ce2 Y4 Ho8'
_cell_length_a 6.194
_cell_length_b 3.577
_cell_length_c 20.026
_cell_angle_alpha 90.00
_cell_angle_beta 95.92
_cell_angle_gamma 90.00
_symmetry_space_group_name_H-M 'P 1'
_symmetry_Int_Tables_number 1
loop_
_symmetry_equiv_pos_as_xyz
'x,y,z'
loop_
_atom_site_label
_atom_site_fract_x
_atom_site_fract_y
_atom_site_fract_z
Ce1 0.000 0.000 0.000
Ce2 0.500 0.500 0.000
Y1 0.310 0.500 0.428
Y2 0.405 0.500 0.714
Y3 0.810 0.000 0.428
Y4 0.905 0.000 0.714
Ho1 0.096 0.000 0.284
Ho2 0.119 0.500 0.857
Ho3 0.191 0.000 0.570
Ho4 0.215 0.500 0.143
Ho5 0.596 0.500 0.284
Ho6 0.619 0.000 0.857
Ho7 0.691 0.500 0.570
Ho8 0.715 0.000 0.143
```

Main lines, in order of falling intensity (2θ from 5° to 70°):
2θ/deg, I/Imax
32.6, 100.0
33.3, 97.2
31.4, 57.2
61.2, 50.9
51.1, 44.0
29.0, 28.8
28.9, 24.8
57.6, 20.7
56.2, 20.3
62.3, 15.8

(4)
Starting from the PBE geometry in Alexandria, the XRD peak list of CeHo2Zn6 was computed for CuKα.
Lines closer than 0.1° are merged.

Cell and atoms:
```
data_CeHo2Zn6
_chemical_formula_sum 'Ce1 Ho2 Zn6'
_cell_length_a 7.806
_cell_length_b 7.806
_cell_length_c 3.454
_cell_angle_alpha 90.00
_cell_angle_beta 90.00
_cell_angle_gamma 120.00
_symmetry_space_group_name_H-M 'P 1'
_symmetry_Int_Tables_number 1
loop_
_symmetry_equiv_pos_as_xyz
'x,y,z'
loop_
_atom_site_label
_atom_site_fract_x
_atom_site_fract_y
_atom_site_fract_z
Ce1 0.000 0.000 0.000
Ho1 0.333 0.667 0.000
Ho2 0.667 0.333 0.000
Zn1 0.000 0.337 0.500
Zn2 0.000 0.663 0.500
Zn3 0.337 0.000 0.500
Zn4 0.337 0.337 0.500
Zn5 0.663 0.000 0.500
Zn6 0.663 0.663 0.500
```

Main lines, in order of falling intensity (2θ from 5° to 70°):
2θ/deg, I/Imax
34.7, 100.0
40.0, 58.2
54.0, 27.9
69.3, 25.9
68.4, 22.9
22.8, 19.5
53.0, 8.4
58.4, 3.2
46.5, 3.0
63.0, 2.6

(5)
Starting from the PBE geometry in Alexandria, the XRD peak list of Ce2HoZn9 was computed for CuKα.
Lines closer than 0.1° are merged.

Cell and atoms:
```
data_Ce2HoZn9
_chemical_formula_sum 'Ce2 Ho1 Zn9'
_cell_length_a 9.337
_cell_length_b 9.337
_cell_length_c 9.337
_cell_angle_alpha 33.50
_cell_angle_beta 33.50
_cell_angle_gamma 33.50
_symmetry_space_group_name_H-M 'P 1'
_symmetry_Int_Tables_number 1
loop_
_symmetry_equiv_pos_as_xyz
'x,y,z'
loop_
_atom_site_label
_atom_site_fract_x
_atom_site_fract_y
_atom_site_fract_z
Ce1 0.147 0.147 0.147
Ce2 0.853 0.853 0.853
Ho1 0.000 0.000 0.000
Zn1 0.076 0.582 0.582
Zn2 0.335 0.335 0.335
Zn3 0.418 0.418 0.924
Zn4 0.418 0.924 0.418
Zn5 0.500 0.500 0.500
Zn6 0.582 0.076 0.582
Zn7 0.582 0.582 0.076
Zn8 0.665 0.665 0.665
Zn9 0.924 0.418 0.418
```

Main lines, in order of falling intensity (2θ from 5° to 70°):
2θ/deg, I/Imax
39.2, 100.0
33.3, 54.7
30.5, 28.2
38.8, 27.3
41.0, 22.1
63.5, 20.8
69.9, 17.0
59.5, 13.3
42.4, 12.8
63.4, 12.1

(6)
Starting from the PBE geometry in Alexandria, the XRD peak list of Ce5HoZn6 was computed for CuKα.
Lines closer than 0.1° are merged.

Cell and atoms:
```
data_Ce5HoZn6
_chemical_formula_sum 'Ce5 Ho1 Zn6'
_cell_length_a 7.176
_cell_length_b 7.176
_cell_length_c 8.686
_cell_angle_alpha 90.00
_cell_angle_beta 90.00
_cell_angle_gamma 143.57
_symmetry_space_group_name_H-M 'P 1'
_symmetry_Int_Tables_number 1
loop_
_symmetry_equiv_pos_as_xyz
'x,y,z'
loop_
_atom_site_label
_atom_site_fract_x
_atom_site_fract_y
_atom_site_fract_z
Ce1 0.000 0.000 0.000
Ce2 0.314 0.686 0.500
Ce3 0.332 0.668 0.000
Ce4 0.668 0.332 0.000
Ce5 0.686 0.314 0.500
Ho1 0.000 0.000 0.500
Zn1 0.157 0.843 0.250
Zn2 0.157 0.843 0.750
Zn3 0.500 0.500 0.259
Zn4 0.500 0.500 0.741
Zn5 0.843 0.157 0.250
Zn6 0.843 0.157 0.750
```

Main lines, in order of falling intensity (2θ from 5° to 70°):
2θ/deg, I/Imax
34.9, 100.0
40.2, 17.5
41.6, 15.8
39.7, 15.7
69.6, 12.9
20.4, 11.1
59.2, 10.9
57.8, 10.2
68.9, 10.0
58.8, 9.6

(7)
Starting from the PBE geometry in Alexandria, the XRD peak list of CeI3 was computed for CuKα.
Lines closer than 0.1° are merged.

Cell and atoms:
```
data_CeI3
_chemical_formula_sum 'Ce2 I6'
_cell_length_a 9.277
_cell_length_b 4.233
_cell_length_c 9.832
_cell_angle_alpha 90.00
_cell_angle_beta 106.31
_cell_angle_gamma 90.00
_symmetry_space_group_name_H-M 'P 1'
_symmetry_Int_Tables_number 1
loop_
_symmetry_equiv_pos_as_xyz
'x,y,z'
loop_
_atom_site_label
_atom_site_fract_x
_atom_site_fract_y
_atom_site_fract_z
Ce1 0.188 0.250 0.235
Ce2 0.812 0.750 0.765
I1 0.086 0.250 0.869
I2 0.238 0.750 0.487
I3 0.404 0.750 0.154
I4 0.596 0.250 0.846
I5 0.762 0.250 0.513
I6 0.914 0.750 0.131
```

Main lines, in order of falling intensity (2θ from 5° to 70°):
2θ/deg, I/Imax
28.4, 100.0
28.8, 99.4
11.6, 93.8
29.1, 79.2
38.9, 49.2
28.2, 48.1
23.3, 46.5
24.4, 44.5
26.2, 43.4
42.7, 39.8

(8)
Starting from the PBE geometry in Alexandria, the XRD peak list of CeI2 was computed for CuKα.
Lines closer than 0.1° are merged.

Cell and atoms:
```
data_CeI2
_chemical_formula_sum 'Ce4 I8'
_cell_length_a 4.258
_cell_length_b 4.258
_cell_length_c 32.954
_cell_angle_alpha 90.00
_cell_angle_beta 90.00
_cell_angle_gamma 119.97
_symmetry_space_group_name_H-M 'P 1'
_symmetry_Int_Tables_number 1
loop_
_symmetry_equiv_pos_as_xyz
'x,y,z'
loop_
_atom_site_label
_atom_site_fract_x
_atom_site_fract_y
_atom_site_fract_z
Ce1 0.241 0.243 0.124
Ce2 0.243 0.241 0.876
Ce3 0.757 0.759 0.376
Ce4 0.759 0.757 0.624
I1 0.090 0.425 0.313
I2 0.090 0.426 0.440
I3 0.425 0.090 0.687
I4 0.426 0.090 0.560
I5 0.574 0.910 0.060
I6 0.575 0.910 0.187
I7 0.910 0.574 0.940
I8 0.910 0.575 0.813
```

Main lines, in order of falling intensity (2θ from 5° to 70°):
2θ/deg, I/Imax
10.7, 100.0
24.7, 78.6
30.8, 78.1
32.6, 71.2
34.5, 63.8
29.2, 58.8
42.5, 55.8
27.7, 55.5
54.5, 44.8
24.3, 37.0

(9)
Starting from the PBE geometry in Alexandria, the XRD peak list of CeI3 was computed for CuKα.
Lines closer than 0.1° are merged.

Cell and atoms:
```
data_CeI3
_chemical_formula_sum 'Ce4 I12'
_cell_length_a 4.366
_cell_length_b 15.462
_cell_length_c 10.118
_cell_angle_alpha 90.00
_cell_angle_beta 90.00
_cell_angle_gamma 90.00
_symmetry_space_group_name_H-M 'P 1'
_symmetry_Int_Tables_number 1
loop_
_symmetry_equiv_pos_as_xyz
'x,y,z'
loop_
_atom_site_label
_atom_site_fract_x
_atom_site_fract_y
_atom_site_fract_z
Ce1 0.000 0.242 0.250
Ce2 0.000 0.758 0.750
Ce3 0.500 0.258 0.750
Ce4 0.500 0.742 0.250
I1 0.000 0.154 0.567
I2 0.000 0.154 0.933
I3 0.000 0.406 0.750
I4 0.000 0.594 0.250
I5 0.000 0.846 0.067
I6 0.000 0.846 0.433
I7 0.500 0.094 0.250
I8 0.500 0.346 0.067
I9 0.500 0.346 0.433
I10 0.500 0.654 0.567
I11 0.500 0.654 0.933
I12 0.500 0.906 0.750
```

Main lines, in order of falling intensity (2θ from 5° to 70°):
2θ/deg, I/Imax
28.2, 100.0
11.4, 83.0
28.9, 73.1
34.1, 53.5
27.6, 47.9
26.8, 41.5
39.2, 40.1
41.4, 29.0
51.2, 29.0
36.7, 27.6

(10)
Starting from the PBE geometry in Alexandria, the XRD peak list of CeIn4I7 was computed for CuKα.
Lines closer than 0.1° are merged.

Cell and atoms:
```
data_CeIn4I7
_chemical_formula_sum 'Ce1 In4 I7'
_cell_length_a 11.593
_cell_length_b 11.593
_cell_length_c 8.551
_cell_angle_alpha 106.01
_cell_angle_beta 106.01
_cell_angle_gamma 30.34
_symmetry_space_group_name_H-M 'P 1'
_symmetry_Int_Tables_number 1
loop_
_symmetry_equiv_pos_as_xyz
'x,y,z'
loop_
_atom_site_label
_atom_site_fract_x
_atom_site_fract_y
_atom_site_fract_z
Ce1 0.000 0.000 0.000
In1 0.309 0.309 0.726
In2 0.419 0.419 0.354
In3 0.581 0.581 0.646
In4 0.691 0.691 0.274
I1 0.085 0.085 0.362
I2 0.119 0.119 0.876
I3 0.275 0.275 0.332
I4 0.500 0.500 0.000
I5 0.725 0.725 0.668
I6 0.881 0.881 0.124
I7 0.915 0.915 0.638
```

Main lines, in order of falling intensity (2θ from 5° to 70°):
2θ/deg, I/Imax
29.4, 100.0
25.4, 89.4
26.3, 69.0
27.6, 50.7
44.2, 45.4
32.8, 42.7
24.2, 40.3
25.2, 36.8
30.0, 29.2
15.4, 26.0

(11)
Starting from the PBE geometry in Alexandria, the XRD peak list of K2CeInI6 was computed for CuKα.
Lines closer than 0.1° are merged.

Cell and atoms:
```
data_K2CeInI6
_chemical_formula_sum 'K4 Ce2 In2 I12'
_cell_length_a 8.391
_cell_length_b 9.129
_cell_length_c 14.714
_cell_angle_alpha 90.00
_cell_angle_beta 123.36
_cell_angle_gamma 90.00
_symmetry_space_group_name_H-M 'P 1'
_symmetry_Int_Tables_number 1
loop_
_symmetry_equiv_pos_as_xyz
'x,y,z'
loop_
_atom_site_label
_atom_site_fract_x
_atom_site_fract_y
_atom_site_fract_z
K1 0.205 0.096 0.245
K2 0.205 0.404 0.745
K3 0.795 0.596 0.255
K4 0.795 0.904 0.755
Ce1 0.500 0.000 0.000
Ce2 0.500 0.500 0.500
In1 0.000 0.000 0.500
In2 0.000 0.500 0.000
I1 0.130 0.177 0.936
I2 0.130 0.323 0.436
I3 0.263 0.705 0.927
I4 0.263 0.795 0.427
I5 0.403 0.049 0.762
I6 0.403 0.451 0.262
I7 0.597 0.549 0.738
I8 0.597 0.951 0.238
I9 0.737 0.205 0.573
I10 0.737 0.295 0.073
I11 0.870 0.677 0.564
I12 0.870 0.823 0.064
```

Main lines, in order of falling intensity (2θ from 5° to 70°):
2θ/deg, I/Imax
14.4, 100.0
23.3, 77.4
23.9, 56.7
26.4, 56.4
24.4, 49.7
36.3, 46.6
31.3, 46.1
32.2, 42.5
28.9, 39.6
24.3, 38.4

(12)
Starting from the PBE geometry in Alexandria, the XRD peak list of La2CeIr2I2 was computed for CuKα.
Lines closer than 0.1° are merged.

Cell and atoms:
```
data_La2CeIr2I2
_chemical_formula_sum 'La4 Ce2 Ir4 I4'
_cell_length_a 5.127
_cell_length_b 5.127
_cell_length_c 17.179
_cell_angle_alpha 90.00
_cell_angle_beta 90.00
_cell_angle_gamma 90.00
_symmetry_space_group_name_H-M 'P 1'
_symmetry_Int_Tables_number 1
loop_
_symmetry_equiv_pos_as_xyz
'x,y,z'
loop_
_atom_site_label
_atom_site_fract_x
_atom_site_fract_y
_atom_site_fract_z
La1 0.000 0.000 0.107
La2 0.000 0.000 0.893
La3 0.500 0.500 0.393
La4 0.500 0.500 0.607
Ce1 0.000 0.000 0.500
Ce2 0.500 0.500 0.000
Ir1 0.000 0.500 0.000
Ir2 0.000 0.500 0.500
Ir3 0.500 0.000 0.000
Ir4 0.500 0.000 0.500
I1 0.000 0.000 0.308
I2 0.000 0.000 0.692
I3 0.500 0.500 0.192
I4 0.500 0.500 0.808
```

Main lines, in order of falling intensity (2θ from 5° to 70°):
2θ/deg, I/Imax
10.3, 100.0
31.3, 86.7
35.0, 82.7
47.7, 68.8
26.7, 40.8
32.3, 38.9
50.3, 29.5
65.4, 24.1
36.6, 20.8
60.5, 20.6

(13)
Starting from the PBE geometry in Alexandria, the XRD peak list of Ce4PIrI2 was computed for CuKα.
Lines closer than 0.1° are merged.

Cell and atoms:
```
data_Ce4PIrI2
_chemical_formula_sum 'Ce4 P1 Ir1 I2'
_cell_length_a 7.432
_cell_length_b 4.118
_cell_length_c 7.984
_cell_angle_alpha 90.00
_cell_angle_beta 106.98
_cell_angle_gamma 90.00
_symmetry_space_group_name_H-M 'P 1'
_symmetry_Int_Tables_number 1
loop_
_symmetry_equiv_pos_as_xyz
'x,y,z'
loop_
_atom_site_label
_atom_site_fract_x
_atom_site_fract_y
_atom_site_fract_z
Ce1 0.224 0.000 0.189
Ce2 0.268 0.500 0.803
Ce3 0.732 0.500 0.197
Ce4 0.776 0.000 0.811
P1 0.500 0.000 0.000
Ir1 0.000 0.500 0.000
I1 0.000 0.000 0.500
I2 0.500 0.500 0.500
```

Main lines, in order of falling intensity (2θ from 5° to 70°):
2θ/deg, I/Imax
29.2, 100.0
28.9, 52.8
42.6, 40.6
40.4, 28.8
44.0, 19.0
53.5, 18.8
39.4, 14.5
36.9, 12.5
11.6, 12.1
12.5, 10.8

(14)
Starting from the PBE geometry in Alexandria, the XRD peak list of Ce6Ir2SI3 was computed for CuKα.
Lines closer than 0.1° are merged.

Cell and atoms:
```
data_Ce6Ir2SI3
_chemical_formula_sum 'Ce6 Ir2 S1 I3'
_cell_length_a 7.238
_cell_length_b 7.238
_cell_length_c 8.180
_cell_angle_alpha 98.46
_cell_angle_beta 98.46
_cell_angle_gamma 119.99
_symmetry_space_group_name_H-M 'P 1'
_symmetry_Int_Tables_number 1
loop_
_symmetry_equiv_pos_as_xyz
'x,y,z'
loop_
_atom_site_label
_atom_site_fract_x
_atom_site_fract_y
_atom_site_fract_z
Ce1 0.097 0.436 0.809
Ce2 0.224 0.224 0.190
Ce3 0.436 0.097 0.809
Ce4 0.564 0.903 0.191
Ce5 0.776 0.776 0.810
Ce6 0.903 0.564 0.191
Ir1 0.167 0.833 0.000
Ir2 0.833 0.167 0.000
S1 0.500 0.500 0.000
I1 0.000 0.000 0.500
I2 0.335 0.665 0.500
I3 0.665 0.335 0.500
```

Main lines, in order of falling intensity (2θ from 5° to 70°):
2θ/deg, I/Imax
29.0, 100.0
43.3, 38.0
39.6, 28.8
53.0, 18.4
11.3, 14.3
36.5, 10.6
60.1, 8.4
31.2, 7.3
49.6, 7.2
56.4, 6.8